1.
Structure and calculated X-ray powder pattern of AlPAuO (a cell relaxed with PBE; Cu Ka).

Crystal structure
```
AlPAuO
1.0
3.017 0.000 0.000
0.000 6.967 0.000
0.000 0.000 6.804
Al P Au O
2 2 2 2
Cartesian
0.000 1.154 0.000
0.000 5.813 3.402
0.000 1.002 2.378
0.000 5.965 5.780
1.508 2.779 2.922
1.508 4.188 6.324
1.508 1.930 6.327
1.508 5.036 2.925
```

Main lines, low angle first (2θ = 10–90°):
2θ (°), I (rel.)
12.71, 100.0
18.23, 61.1
26.20, 79.0
28.79, 64.1
29.21, 39.2
32.34, 56.3
41.07, 34.8
41.78, 53.5
42.08, 47.4
51.44, 29.3

2.
Structure and calculated X-ray powder pattern of AlP2Au2 (a cell relaxed with PBE; Cu Ka).

Crystal structure
```
AlP2Au2
1.0
1.594 -5.634 0.000
1.594 5.634 0.000
0.000 0.000 11.279
Al P Au
2 4 4
Cartesian
1.594 5.332 8.459
1.594 -5.332 2.820
1.594 2.285 6.150
1.594 2.285 10.769
1.594 -2.285 0.510
1.594 -2.285 5.129
1.594 2.634 8.459
1.594 0.000 0.000
1.594 0.000 5.640
1.594 -2.634 2.820
```

Main lines, low angle first (2θ = 10–90°):
2θ (°), I (rel.)
22.30, 100.0
29.11, 22.8
30.19, 45.2
31.75, 79.6
33.24, 35.7
37.86, 31.3
40.41, 25.7
45.51, 26.3
50.21, 24.3
51.25, 29.6

3.
Structure and calculated X-ray powder pattern of PrAl4Au8 (a cell relaxed with PBE; Cu Ka).

Crystal structure
```
PrAl4Au8
1.0
-4.641 4.641 2.761
4.641 -4.641 2.761
4.641 4.641 -2.761
Pr Al Au
1 4 8
Cartesian
0.000 0.000 0.000
2.320 2.320 -1.381
2.320 -2.320 1.381
-2.320 2.320 1.381
2.320 2.320 1.381
3.081 0.000 0.000
6.201 0.000 0.000
4.641 2.610 0.000
0.000 3.081 0.000
2.610 4.641 0.000
2.031 0.000 2.761
0.000 6.201 0.000
0.000 2.031 2.761
```

Main lines, low angle first (2θ = 10–90°):
2θ (°), I (rel.)
27.17, 57.5
32.42, 61.5
33.19, 50.7
38.59, 100.0
38.81, 37.6
42.80, 54.4
43.41, 30.6
51.44, 22.3
61.97, 25.3
70.11, 35.7

- Number 1 is which compound?
  AlPAuO